ZnFeO2: theoretical powder diffractogram (Cu Kα (λ = 1.5418 Å)), based on a PBE+U-relaxed structure.

Largest 10 diffraction maxima, in order of rising 2θ, 10° ≤ 2θ ≤ 90°:
| two_theta | d (Å) | Rel. int. | h k l |
| --- | --- | --- | --- |
| 11.34 | 7.805 | 39 | 0 0 1 |
| 34.19 | 2.623 | 64 | 1 0 -2 |
| 34.30 | 2.615 | 100 | 1 -1 1 |
| 34.47 | 2.602 | 45 | 0 0 3 |
| 35.56 | 2.525 | 57 | 0 3 0 |
| 37.67 | 2.388 | 63 | 0 2 -3 |
| 41.54 | 2.174 | 42 | -1 2 2 |
| 44.52 | 2.035 | 38 | 0 3 -3 |
| 46.94 | 1.936 | 56 | 1 2 1 |
| 49.69 | 1.835 | 38 | -1 3 2 |

Atomic structure:
```
ZnFeO2
1.0
3.023 0.000 0.000
-1.071 7.743 0.000
-1.475 -1.655 7.805
Zn Fe O
4 4 8
direct
0.000 0.000 0.000
0.096 0.273 0.207
0.598 0.294 0.900
0.727 0.991 0.331
0.331 0.930 0.663
0.525 0.630 0.292
0.843 0.642 0.938
0.991 0.353 0.571
0.003 0.488 0.361
0.028 0.787 0.199
0.318 0.472 0.053
0.349 0.165 0.424
0.379 0.830 0.871
0.604 0.449 0.729
0.717 0.827 0.511
0.964 0.108 0.768
```